Record 1
Diffraction record for K3Hf2O3F4. The PXRD pattern is computed, not measured: it uses a crystal structure in Alexandria, relaxed with GGA-PBE and copper Kα.
Peak positions follow from Bragg's law for the DFT cell and can differ from measured ones.

Peak list (10 most intense, 15 to 90 degrees two-theta, by angle)
| 2theta | I/Imax | h k l |
| --- | --- | --- |
| 15.89 | 53.1 | 0 0 4 |
| 20.99 | 72.6 | 0 1 1 |
| 22.14 | 69.6 | 1 0 1 |
| 23.93 | 30.2 | 0 0 6 |
| 28.80 | 83.1 | 0 1 5 |
| 29.66 | 81.3 | 1 0 5 |
| 30.16 | 100.0 | 1 1 0 |
| 41.93 | 34.3 | 0 2 0 |
| 52.20 | 33.8 | 1 2 5 |
| 53.78 | 30.3 | 2 1 5 |

Crystal structure
```
data_K3Hf2O3F4
_cell_length_a 4.0812
_cell_length_b 4.3097
_cell_length_c 22.3105
_cell_angle_alpha 90.00
_cell_angle_beta 90.00
_cell_angle_gamma 90.00
_space_group_name_H-M_alt 'I m m m'
_space_group_IT_number 71
_space_group_name_Hall '-I 2 2'
loop_
_atom_site_label
_atom_site_type_symbol
_atom_site_fract_x
_atom_site_fract_y
_atom_site_fract_z
_atom_site_occupancy
K1 K 0.0000 0.0000 0.0000 1
K2 K 0.0000 0.0000 0.1890 1
Hf1 Hf 0.0000 0.0000 0.4096 1
O1 O 0.0000 0.0000 0.5000 1
O2 O 0.0000 0.5000 0.0988 1
F1 F 0.0000 0.0000 0.3109 1
F2 F 0.0000 0.5000 0.4059 1
```



Record 2
Diffraction record for LaHfSc2F. The PXRD pattern is computed, not measured: it uses a crystal structure in Alexandria, relaxed with GGA-PBE and copper Kα.
Peak positions follow from Bragg's law for the DFT cell and can differ from measured ones.

Peak list (10 most intense, 15 to 90 degrees two-theta, by angle)
| 2theta | I/Imax | h k l |
| --- | --- | --- |
| 21.05 | 61.2 | 1 1 0 |
| 26.81 | 100.0 | 1 0 1 |
| 29.95 | 79.7 | 2 0 0 |
| 40.63 | 67.1 | 2 1 1 |
| 42.86 | 29.3 | 2 2 0 |
| 51.29 | 17.3 | 3 0 1 |
| 55.25 | 27.2 | 2 0 2 |
| 60.53 | 21.3 | 3 2 1 |
| 64.12 | 17.1 | 2 2 2 |
| 69.00 | 14.5 | 4 1 1 |

Crystal structure
```
data_LaHfSc2F
_cell_length_a 5.9674
_cell_length_b 5.9674
_cell_length_c 4.0042
_cell_angle_alpha 90.00
_cell_angle_beta 90.00
_cell_angle_gamma 90.00
_space_group_name_H-M_alt 'P 4/m m m'
_space_group_IT_number 123
_space_group_name_Hall '-P 4 2'
loop_
_atom_site_label
_atom_site_type_symbol
_atom_site_fract_x
_atom_site_fract_y
_atom_site_fract_z
_atom_site_occupancy
La1 La 0.0000 0.0000 0.0000 1
Hf1 Hf 0.5000 0.5000 0.5000 1
Sc1 Sc 0.0000 0.5000 0.5000 1
F1 F 0.5000 0.5000 0.0000 1
```



Record 3
Diffraction record for LuHfF7. The PXRD pattern is computed, not measured: it uses a crystal structure in Alexandria, relaxed with GGA-PBE and copper Kα.
Peak positions follow from Bragg's law for the DFT cell and can differ from measured ones.

Peak list (10 most intense, 15 to 90 degrees two-theta, by angle)
| 2theta | I/Imax | h k l |
| --- | --- | --- |
| 21.83 | 100.0 | 1 1 0 |
| 22.40 | 40.1 | 0 0 2 |
| 22.85 | 18.0 | 1 1 -1 |
| 26.19 | 23.0 | 1 1 1 |
| 27.35 | 13.3 | 0 1 2 |
| 28.71 | 33.1 | 1 1 -2 |
| 31.25 | 15.3 | 0 2 0 |
| 44.07 | 17.6 | 2 2 -1 |
| 47.92 | 13.8 | 2 2 1 |
| 48.54 | 24.8 | 3 1 -1 |

Crystal structure
```
data_LuHfF7
_cell_length_a 5.9580
_cell_length_b 5.7237
_cell_length_c 8.1644
_cell_angle_alpha 90.00
_cell_angle_beta 103.53
_cell_angle_gamma 90.00
_space_group_name_H-M_alt 'P 1 21 1'
_space_group_IT_number 4
loop_
_space_group_symop_operation_xyz
'x,y,z'
'-x,y+1/2,-z'
loop_
_atom_site_label
_atom_site_type_symbol
_atom_site_fract_x
_atom_site_fract_y
_atom_site_fract_z
_atom_site_occupancy
Lu1 Lu 0.1497 0.0000 0.1877 1
Hf1 Hf 0.3199 0.0013 0.7264 1
F1 F 0.0065 0.7431 0.0026 1
F2 F 0.0846 0.7452 0.7076 1
F3 F 0.0882 0.2612 0.7080 1
F4 F 0.2696 0.0007 0.4750 1
F5 F 0.3665 0.0019 0.9764 1
F6 F 0.4246 0.2640 0.2560 1
F7 F 0.4272 0.7406 0.2581 1
```



Record 4
Diffraction record for Hf2MgScF. The PXRD pattern is computed, not measured: it uses a crystal structure in Alexandria, relaxed with GGA-PBE and copper Kα.
Peak positions follow from Bragg's law for the DFT cell and can differ from measured ones.

Peak list (10 most intense, 15 to 90 degrees two-theta, by angle)
| 2theta | I/Imax | h k l |
| --- | --- | --- |
| 16.22 | 100.0 | 0 0 1 |
| 24.98 | 39.3 | 1 1 0 |
| 29.93 | 93.5 | 1 1 1 |
| 32.78 | 29.1 | 0 0 2 |
| 35.62 | 46.5 | 2 0 0 |
| 39.37 | 44.6 | 2 0 1 |
| 41.65 | 21.5 | 1 1 2 |
| 49.18 | 36.8 | 2 0 2 |
| 60.50 | 25.7 | 3 1 1 |
| 62.19 | 18.0 | 2 2 2 |

Crystal structure
```
data_Hf2MgScF
_cell_length_a 5.0412
_cell_length_b 5.0412
_cell_length_c 5.4645
_cell_angle_alpha 90.00
_cell_angle_beta 90.00
_cell_angle_gamma 90.00
_space_group_name_H-M_alt 'P 4/m m m'
_space_group_IT_number 123
_space_group_name_Hall '-P 4 2'
loop_
_atom_site_label
_atom_site_type_symbol
_atom_site_fract_x
_atom_site_fract_y
_atom_site_fract_z
_atom_site_occupancy
Hf1 Hf 0.0000 0.5000 0.0000 1
Mg1 Mg 0.0000 0.0000 0.5000 1
Sc1 Sc 0.0000 0.0000 0.0000 1
F1 F 0.5000 0.5000 0.5000 1
```